Diffraction record for HfNb2VC4. The powder X-ray diffraction pattern is calculated, not measured: it uses DFT lattice parameters and positions (PBE) and Cu Kα.
No peak broadening, texture or thermal motion is included.

Atomic structure:
Cell: 3.1638 3.1638 30.7695 Å, 90.00 90.00 120.00°
Space group R3m (No. 160, hexagonal axes)
Symmetry-distinct sites (fractional):
1 Hf 0.0000 0.0000 0.0000 [3 per cell]
2 Nb 0.0000 0.0000 0.5062 [3 per cell]
3 Nb 0.0000 0.0000 0.7539 [3 per cell]
4 V 0.0000 0.0000 0.2518 [3 per cell]
5 C 0.0000 0.0000 0.1302 [3 per cell]
6 C 0.0000 0.0000 0.3783 [3 per cell]
7 C 0.0000 0.0000 0.6226 [3 per cell]
8 C 0.0000 0.0000 0.8813 [3 per cell]

Peak list (8 most intense, 2θ from 15° to 90°, by angle)
2θ 17.29, intensity 18; 2θ 34.76, intensity 100; 2θ 34.99, intensity 32; 2θ 40.42, intensity 96; 2θ 58.33, intensity 32; 2θ 58.65, intensity 29; 2θ 69.87, intensity 26; 2θ 73.36, intensity 15